No. 1
Starting from a cell relaxed with GGA-PBE, the powder X-ray diffraction pattern of Ba2Ti5Bi4O18 was calculated for λ = 1.5418 Å (Cu Kα).
Peak positions follow from Bragg's law for the DFT cell and can differ from measured ones.

```
data_Ba2Ti5Bi4O18
_chemical_formula_sum 'Ba4 Ti10 Bi8 O36'
_symmetry_space_group_name_H-M 'I 4/m m m'
_symmetry_Int_Tables_number 139
_symmetry_space_group_name_Hall '-I 4 2'
_cell_length_a 3.9280
_cell_length_b 3.9280
_cell_length_c 48.7888
_cell_angle_alpha 90.00
_cell_angle_beta 90.00
_cell_angle_gamma 90.00
loop_
_atom_site_label
_atom_site_fract_x
_atom_site_fract_y
_atom_site_fract_z
Ba1 0.0000 0.0000 0.0423
Ti1 0.0000 0.0000 0.3319
Ti2 0.0000 0.0000 0.4153
Ti3 0.0000 0.0000 0.5000
Bi1 0.0000 0.0000 0.1282
Bi2 0.0000 0.0000 0.2245
O1 0.0000 0.0000 0.2952
O2 0.0000 0.0000 0.3762
O3 0.0000 0.0000 0.4579
O4 0.0000 0.5000 0.0000
O5 0.0000 0.5000 0.0852
O6 0.0000 0.5000 0.1606
O7 0.0000 0.5000 0.2500
```

Most intense lines, 2θ from 5° to 70°, sorted by position:
2θ/deg  I (rel.)  hkl
14.52  13  0 0 8
22.71  19  1 0 1
28.05  20  1 0 9
30.40  100  1 0 11
32.23  49  1 1 0
39.28  28  1 1 12
46.22  31  2 0 0
48.77  11  1 0 23
52.83  13  1 1 22
56.33  36  2 1 11

=====

No. 2
Starting from a cell relaxed with GGA-PBE, the powder X-ray diffraction pattern of Mn2CuOs was calculated for λ = 1.5418 Å (Cu Kα).
Peak positions follow from Bragg's law for the DFT cell and can differ from measured ones.

```
data_Mn2CuOs
_chemical_formula_sum 'Mn4 Cu2 Os2'
_symmetry_space_group_name_H-M 'C m m m'
_symmetry_Int_Tables_number 65
_symmetry_space_group_name_Hall '-C 2 2'
_cell_length_a 5.2566
_cell_length_b 7.1862
_cell_length_c 2.6953
_cell_angle_alpha 90.00
_cell_angle_beta 90.00
_cell_angle_gamma 90.00
loop_
_atom_site_label
_atom_site_fract_x
_atom_site_fract_y
_atom_site_fract_z
Mn1 0.2500 0.2500 0.0000
Cu1 0.0000 0.0000 0.5000
Os1 0.0000 0.5000 0.5000
```

Most intense lines, 2θ from 5° to 70°, sorted by position:
2θ/deg  I (rel.)  hkl
20.94  59  1 1 0
24.78  29  0 2 0
33.24  14  0 0 1
34.11  13  2 0 0
39.62  24  1 1 1
41.90  100  0 2 1
42.62  95  2 2 0
48.37  65  2 0 1
50.82  28  0 4 0
55.09  15  2 2 1